(1)
Diffraction record for LiC. The powder X-ray diffraction pattern is computed, not measured: it uses a structure optimized by DFT (PBE) and λ = 1.5418 Å (Cu Kα).
Neutral-atom scattering factors, no anomalous dispersion.

Atomic structure:
Unit cell a=4.0557 b=4.0557 c=5.8453 alpha=90.00 beta=90.00 gamma=97.20
Fractional positions:
Li: 0.0613 0.4387 0.2500
Li: 0.4387 0.0613 0.7500
Li: 0.5613 0.9387 0.2500
Li: 0.9387 0.5613 0.7500
C: 0.0831 0.9169 0.4357
C: 0.4169 0.5831 0.9357
C: 0.5831 0.4169 0.0643
C: 0.9169 0.0831 0.5643

Most intense lines, 2θ = 5–70°, low angle first:
two_theta  Rel. int.
26.90  100
33.41  5
38.05  6
42.91  8
45.06  10
45.92  17
47.81  10
55.85  7
56.05  8
57.96  5

***

(2)
Diffraction record for Co2CuBr6. The powder X-ray diffraction pattern is computed, not measured: it uses a structure optimized by DFT (PBE) and λ = 1.5418 Å (Cu Kα).
Neutral-atom scattering factors, no anomalous dispersion.

Atomic structure:
Unit cell a=9.8257 b=9.8257 c=6.8112 alpha=100.62 beta=100.62 gamma=85.51
Fractional positions:
Co: 0.0292 0.8679 0.5566
Co: 0.1321 0.9708 0.9434
Co: 0.8679 0.0292 0.0566
Co: 0.9708 0.1321 0.4434
Cu: 0.4997 0.5003 0.2500
Cu: 0.5003 0.4997 0.7500
Br: 0.0524 0.1869 0.1436
Br: 0.1052 0.6603 0.3977
Br: 0.1869 0.0524 0.6436
Br: 0.3397 0.8948 0.1023
Br: 0.3454 0.4210 0.9379
Br: 0.4210 0.3454 0.4379
Br: 0.5790 0.6546 0.5621
Br: 0.6546 0.5790 0.0621
Br: 0.6603 0.1052 0.8977
Br: 0.8131 0.9476 0.3564
Br: 0.8948 0.3397 0.6023
Br: 0.9476 0.8131 0.8564

Most intense lines, 2θ = 5–70°, low angle first:
two_theta  Rel. int.
12.68  76
13.27  85
20.96  34
25.51  48
25.84  100
26.86  49
28.70  38
41.50  35
43.29  37
44.99  31

***

(3)
Diffraction record for Na2PdCl6. The powder X-ray diffraction pattern is computed, not measured: it uses a structure optimized by DFT (PBE) and λ = 1.5418 Å (Cu Kα).
Neutral-atom scattering factors, no anomalous dispersion.

Atomic structure:
Unit cell a=6.6497 b=6.9679 c=11.4357 alpha=90.00 beta=123.87 gamma=90.00
Fractional positions:
Na: 0.2090 0.0872 0.2373
Na: 0.2090 0.4128 0.7373
Na: 0.7910 0.5872 0.2627
Na: 0.7910 0.9128 0.7627
Pd: 0.5000 0.0000 0.0000
Pd: 0.5000 0.5000 0.5000
Cl: 0.1630 0.1854 0.9463
Cl: 0.1630 0.3146 0.4463
Cl: 0.2681 0.7186 0.9452
Cl: 0.2681 0.7814 0.4452
Cl: 0.3787 0.0268 0.7642
Cl: 0.3787 0.4732 0.2642
Cl: 0.6213 0.5268 0.7358
Cl: 0.6213 0.9732 0.2358
Cl: 0.7319 0.2186 0.5548
Cl: 0.7319 0.2814 0.0548
Cl: 0.8370 0.6854 0.5537
Cl: 0.8370 0.8146 0.0537

Most intense lines, 2θ = 5–70°, low angle first:
two_theta  Rel. int.
15.78  100
16.05  39
16.50  45
18.45  48
18.69  20
30.34  33
31.03  47
31.66  36
37.40  32
37.90  19

***

(4)
Diffraction record for ErNi2B4. The powder X-ray diffraction pattern is computed, not measured: it uses a structure optimized by DFT (PBE) and λ = 1.5418 Å (Cu Kα).
Neutral-atom scattering factors, no anomalous dispersion.

Atomic structure:
Unit cell a=7.1471 b=7.1471 c=7.1471 alpha=154.88 beta=153.25 gamma=37.02
Fractional positions:
Er: 0.0000 0.0000 0.0000
Ni: 0.1970 0.6970 0.5000
Ni: 0.8030 0.3030 0.5000
B: 0.3491 0.8491 0.5000
B: 0.3969 0.3969 0.0000
B: 0.6031 0.6031 0.0000
B: 0.6509 0.1509 0.5000

Most intense lines, 2θ = 5–70°, low angle first:
two_theta  Rel. int.
13.06  20
26.30  32
27.77  67
29.49  24
35.04  77
42.06  100
43.15  58
55.95  21
67.42  22
69.27  32

***

(5)
Diffraction record for NdTmGa3. The powder X-ray diffraction pattern is computed, not measured: it uses a structure optimized by DFT (PBE) and λ = 1.5418 Å (Cu Kα).
Neutral-atom scattering factors, no anomalous dispersion.

Atomic structure:
Unit cell a=12.9621 b=12.9621 c=4.1963 alpha=90.00 beta=90.00 gamma=161.05
Fractional positions:
Nd: 0.0742 0.9258 0.7500
Nd: 0.9258 0.0742 0.2500
Tm: 0.2041 0.7959 0.2500
Tm: 0.7959 0.2041 0.7500
Ga: 0.3213 0.6787 0.2500
Ga: 0.3784 0.6216 0.7500
Ga: 0.4756 0.5244 0.7500
Ga: 0.5244 0.4756 0.2500
Ga: 0.6216 0.3784 0.2500
Ga: 0.6787 0.3213 0.7500

Most intense lines, 2θ = 5–70°, low angle first:
two_theta  Rel. int.
25.39  20
31.69  100
32.26  53
38.91  11
41.35  31
42.35  26
43.11  24
54.85  26
60.68  20
62.03  17

***

(6)
Diffraction record for Ti4Sb2H. The powder X-ray diffraction pattern is computed, not measured: it uses a structure optimized by DFT (PBE) and λ = 1.5418 Å (Cu Kα).
Neutral-atom scattering factors, no anomalous dispersion.

Atomic structure:
Unit cell a=7.6918 b=7.6918 c=7.6918 alpha=149.77 beta=149.77 gamma=43.28
Fractional positions:
Ti: 0.0000 0.5000 0.5000
Ti: 0.1618 0.1618 0.0000
Ti: 0.5000 0.0000 0.5000
Ti: 0.8382 0.8382 0.0000
Sb: 0.3573 0.3573 0.0000
Sb: 0.6427 0.6427 0.0000
H: 0.0000 0.0000 0.0000

Most intense lines, 2θ = 5–70°, low angle first:
two_theta  Rel. int.
23.03  32
24.91  22
29.10  28
31.54  44
34.01  44
37.75  26
40.60  100
45.21  50
60.32  24
65.86  15

***

(7)
Diffraction record for Zr3O. The powder X-ray diffraction pattern is computed, not measured: it uses a structure optimized by DFT (PBE) and λ = 1.5418 Å (Cu Kα).
Neutral-atom scattering factors, no anomalous dispersion.

Atomic structure:
Unit cell a=5.6669 b=5.6669 c=5.2369 alpha=90.00 beta=90.00 gamma=120.00
Fractional positions:
Zr: 0.0000 0.3389 0.0000
Zr: 0.0000 0.6611 0.5000
Zr: 0.3389 0.0000 0.0000
Zr: 0.3389 0.3389 0.5000
Zr: 0.6611 0.0000 0.5000
Zr: 0.6611 0.6611 0.0000
O: 0.3333 0.6667 0.2500
O: 0.6667 0.3333 0.7500

Most intense lines, 2θ = 5–70°, low angle first:
two_theta  Rel. int.
24.86  1
31.58  18
34.25  23
36.04  100
47.27  19
56.23  20
62.49  19
65.93  2
67.51  18
68.63  14

***

(8)
Diffraction record for KBC. The powder X-ray diffraction pattern is computed, not measured: it uses a structure optimized by DFT (PBE) and λ = 1.5418 Å (Cu Kα).
Neutral-atom scattering factors, no anomalous dispersion.

Atomic structure:
Unit cell a=4.2665 b=4.2665 c=11.4549 alpha=90.00 beta=90.00 gamma=90.00
Fractional positions:
K: 0.0000 0.0440 0.0000
K: 0.0000 0.9560 0.5000
K: 0.0440 0.0000 0.7500
K: 0.9560 0.0000 0.2500
B: 0.4841 0.4841 0.3750
B: 0.4841 0.5159 0.1250
B: 0.5159 0.4841 0.6250
B: 0.5159 0.5159 0.8750
C: 0.4712 0.5000 0.2500
C: 0.5000 0.4712 0.5000
C: 0.5000 0.5288 0.0000
C: 0.5288 0.5000 0.7500

Most intense lines, 2θ = 5–70°, low angle first:
two_theta  Rel. int.
20.82  25
29.61  100
31.23  23
37.84  39
42.37  29
43.58  31
53.57  14
58.09  17
61.47  7
69.69  9

***

(9)
Diffraction record for Sr3Ac4Ir2. The powder X-ray diffraction pattern is computed, not measured: it uses a structure optimized by DFT (PBE) and λ = 1.5418 Å (Cu Kα).
Neutral-atom scattering factors, no anomalous dispersion.

Atomic structure:
Unit cell a=10.5262 b=10.5262 c=10.3917 alpha=117.83 beta=117.83 gamma=23.73
Fractional positions:
Sr: 0.0000 0.0000 0.0000
Sr: 0.3573 0.3573 0.1791
Sr: 0.6427 0.6427 0.8209
Ac: 0.0750 0.0750 0.4333
Ac: 0.2914 0.2914 0.6897
Ac: 0.7086 0.7086 0.3103
Ac: 0.9250 0.9250 0.5667
Ir: 0.3207 0.3207 0.4311
Ir: 0.6793 0.6793 0.5689

Most intense lines, 2θ = 5–70°, low angle first:
two_theta  Rel. int.
9.70  100
25.32  36
26.35  42
29.65  18
32.23  16
37.11  20
39.23  15
42.93  16
45.63  17
50.04  16